1.
For Ba4Ru3O10, a DFT-relaxed cell (GGA-PBE, the Materials Project) gives the simulated powder diffractogram in this record (Cu Ka).
Intensities are scaled so that the largest is 100.

Principal peaks in the range 2θ from 5° to 70°, by intensity:
| 2θ/deg | Rel. int. |
| --- | --- |
| 30.52 | 100 |
| 28.50 | 97 |
| 28.36 | 96 |
| 41.05 | 77 |
| 26.80 | 62 |
| 32.18 | 44 |
| 32.30 | 42 |
| 40.80 | 35 |
| 48.35 | 30 |
| 31.64 | 23 |
| 51.66 | 22 |
| 40.71 | 21 |

Atomic structure:
```
Ba4Ru3O10
1.0
7.3205 0.0000 0.0000
0.0000 13.3040 0.0000
-2.3081 0.0000 5.3834
Ba Ru O
8 6 20
Direct
0.0176 0.1109 0.2598
0.0176 0.3891 0.7598
0.4290 0.1398 0.9656
0.4290 0.3602 0.4656
0.5710 0.6398 0.5344
0.5710 0.8602 0.0344
0.9824 0.6109 0.2402
0.9824 0.8891 0.7402
0.2526 0.6491 0.8741
0.2526 0.8509 0.3741
0.5000 0.0000 0.5000
0.5000 0.5000 0.0000
0.7474 0.1491 0.6259
0.7474 0.3509 0.1259
0.0367 0.1468 0.7677
0.0367 0.3532 0.2677
0.2581 0.7472 0.6207
0.2581 0.7528 0.1207
0.2806 0.5336 0.6609
0.2806 0.9664 0.1609
0.2824 0.5370 0.1241
0.2824 0.9630 0.6241
0.4288 0.1506 0.4697
0.4288 0.3494 0.9697
0.5712 0.6506 0.0303
0.5712 0.8494 0.5303
0.7176 0.0370 0.3759
0.7176 0.4630 0.8759
0.7194 0.0336 0.8391
0.7194 0.4664 0.3391
0.7419 0.2472 0.8793
0.7419 0.2528 0.3793
0.9633 0.6468 0.7323
0.9633 0.8532 0.2323
```



2.
For Ba4Ru3O10, a DFT-relaxed cell (GGA-PBE, the Materials Project) gives the simulated powder diffractogram in this record (Cu Ka).
Intensities are scaled so that the largest is 100.

Principal peaks in the range 2θ from 5° to 70°, by intensity:
| 2θ/deg | Rel. int. |
| --- | --- |
| 28.48 | 100 |
| 30.46 | 53 |
| 41.01 | 52 |
| 32.28 | 46 |
| 26.81 | 33 |
| 26.01 | 20 |
| 52.91 | 17 |
| 55.27 | 17 |
| 48.39 | 16 |
| 40.89 | 15 |
| 53.59 | 14 |
| 62.90 | 14 |

Atomic structure:
```
Ba4Ru3O10
1.0
2.9350 -6.6967 0.0000
2.9350 6.6967 0.0000
0.0000 0.0000 13.3029
Ba Ru O
8 6 20
Direct
0.0346 0.9654 0.8605
0.2404 0.7596 0.6131
0.2596 0.7404 0.1131
0.4654 0.5346 0.3605
0.5346 0.4654 0.6395
0.7404 0.2596 0.8869
0.7596 0.2404 0.3869
0.9654 0.0346 0.1395
0.0000 0.0000 0.5000
0.1242 0.8758 0.3509
0.3758 0.6242 0.8509
0.5000 0.5000 0.0000
0.6242 0.3758 0.1491
0.8758 0.1242 0.6491
0.0352 0.9648 0.6499
0.1208 0.3407 0.5352
0.1307 0.3693 0.7500
0.1593 0.3792 0.9648
0.2306 0.7694 0.8497
0.2694 0.7306 0.3497
0.3407 0.1208 0.4648
0.3693 0.1307 0.2500
0.3792 0.1593 0.0352
0.4648 0.5352 0.1499
0.5352 0.4648 0.8501
0.6208 0.8407 0.9648
0.6307 0.8693 0.7500
0.6593 0.8792 0.5352
0.7306 0.2694 0.6503
0.7694 0.2306 0.1503
0.8407 0.6208 0.0352
0.8693 0.6307 0.2500
0.8792 0.6593 0.4648
0.9648 0.0352 0.3501
```



3.
For BaRuO3, a DFT-relaxed cell (GGA-PBE, the Materials Project) gives the simulated powder diffractogram in this record (Cu Ka).
Intensities are scaled so that the largest is 100.

Principal peaks in the range 2θ from 5° to 70°, by intensity:
| 2θ/deg | Rel. int. |
| --- | --- |
| 30.74 | 100 |
| 33.10 | 50 |
| 25.60 | 45 |
| 40.42 | 33 |
| 45.80 | 30 |
| 56.18 | 23 |
| 54.66 | 20 |
| 64.03 | 19 |
| 69.45 | 16 |
| 60.56 | 15 |
| 51.63 | 12 |
| 41.59 | 11 |

Atomic structure:
```
BaRuO3
1.0
5.8165 0.0000 0.0000
-2.9082 5.0372 0.0000
0.0000 0.0000 9.6249
Ba Ru O
4 4 12
Direct
0.0000 0.0000 0.0000
0.0000 0.0000 0.5000
0.3333 0.6667 0.2500
0.6667 0.3333 0.7500
0.3333 0.6667 0.6169
0.3333 0.6667 0.8831
0.6667 0.3333 0.1169
0.6667 0.3333 0.3831
0.0000 0.5000 0.0000
0.0000 0.5000 0.5000
0.1781 0.3561 0.7500
0.1781 0.8219 0.7500
0.3561 0.1781 0.2500
0.5000 0.0000 0.0000
0.5000 0.0000 0.5000
0.5000 0.5000 0.0000
0.5000 0.5000 0.5000
0.6439 0.8219 0.7500
0.8219 0.1781 0.2500
0.8219 0.6439 0.2500
```



4.
For BaRuO3, a DFT-relaxed cell (GGA-PBE, the Materials Project) gives the simulated powder diffractogram in this record (Cu Ka).
Intensities are scaled so that the largest is 100.

Principal peaks in the range 2θ from 5° to 70°, by intensity:
| 2θ/deg | Rel. int. |
| --- | --- |
| 30.81 | 100 |
| 54.82 | 27 |
| 44.12 | 21 |
| 25.82 | 15 |
| 48.27 | 13 |
| 64.25 | 12 |
| 40.64 | 12 |
| 36.24 | 10 |
| 58.39 | 10 |
| 67.46 | 5 |
| 64.09 | 4 |
| 54.66 | 4 |

Atomic structure:
```
BaRuO3
1.0
5.7985 0.0000 0.0000
-2.8993 5.0217 0.0000
0.0000 0.0000 14.2529
Ba Ru O
6 6 18
Direct
0.0000 0.0000 0.2500
0.0000 0.0000 0.7500
0.3333 0.6667 0.0881
0.3333 0.6667 0.4119
0.6667 0.3333 0.5881
0.6667 0.3333 0.9119
0.0000 0.0000 0.0000
0.0000 0.0000 0.5000
0.3333 0.6667 0.6606
0.3333 0.6667 0.8394
0.6667 0.3333 0.1606
0.6667 0.3333 0.3394
0.0216 0.5108 0.7500
0.1648 0.3297 0.5803
0.1648 0.3297 0.9197
0.1648 0.8352 0.5803
0.1648 0.8352 0.9197
0.3297 0.1648 0.0803
0.3297 0.1648 0.4197
0.4892 0.5108 0.7500
0.4892 0.9784 0.7500
0.5108 0.0216 0.2500
0.5108 0.4892 0.2500
0.6703 0.8352 0.5803
0.6703 0.8352 0.9197
0.8352 0.1648 0.0803
0.8352 0.1648 0.4197
0.8352 0.6703 0.0803
0.8352 0.6703 0.4197
0.9784 0.4892 0.2500
```



5.
For Ba2Ru7O18, a DFT-relaxed cell (GGA-PBE, the Materials Project) gives the simulated powder diffractogram in this record (Cu Ka).
Intensities are scaled so that the largest is 100.

Principal peaks in the range 2θ from 5° to 70°, by intensity:
| 2θ/deg | Rel. int. |
| --- | --- |
| 26.99 | 100 |
| 28.14 | 84 |
| 32.16 | 70 |
| 28.82 | 66 |
| 28.48 | 64 |
| 65.40 | 48 |
| 32.81 | 48 |
| 27.90 | 45 |
| 36.84 | 40 |
| 30.17 | 40 |
| 41.20 | 40 |
| 29.14 | 38 |

Atomic structure:
```
Ba2Ru7O18
1.0
6.8365 0.0000 0.0000
-3.1273 6.5165 0.0000
-0.6136 -0.7902 7.5840
Ba Ru O
2 7 18
Direct
0.1801 0.3124 0.3785
0.8199 0.6876 0.6215
0.1127 0.7241 0.1154
0.3024 0.1279 0.8158
0.3253 0.6201 0.8017
0.5000 0.0000 0.5000
0.6747 0.3799 0.1983
0.6976 0.8721 0.1842
0.8873 0.2759 0.8846
0.0105 0.0911 0.8338
0.0243 0.4440 0.6946
0.1769 0.4881 0.0143
0.2121 0.8323 0.8856
0.2265 0.0032 0.5722
0.4031 0.8682 0.2501
0.4050 0.4018 0.7306
0.4178 0.2336 0.0488
0.4180 0.7320 0.5828
0.5820 0.2680 0.4172
0.5822 0.7664 0.9512
0.5950 0.5982 0.2694
0.5969 0.1318 0.7499
0.7735 0.9968 0.4278
0.7879 0.1677 0.1144
0.8231 0.5119 0.9857
0.9757 0.5560 0.3054
0.9895 0.9089 0.1662
```



6.
For BaRuO3, a DFT-relaxed cell (GGA-PBE, the Materials Project) gives the simulated powder diffractogram in this record (Cu Ka).
Intensities are scaled so that the largest is 100.

Principal peaks in the range 2θ from 5° to 70°, by intensity:
| 2θ/deg | Rel. int. |
| --- | --- |
| 31.13 | 100 |
| 55.38 | 39 |
| 44.60 | 30 |
| 64.90 | 19 |
| 38.37 | 5 |

Atomic structure:
```
BaRuO3
1.0
4.0637 0.0000 0.0000
0.0000 4.0637 0.0000
0.0000 0.0000 4.0637
Ba Ru O
1 1 3
Direct
0.0000 0.0000 0.0000
0.5000 0.5000 0.5000
0.0000 0.5000 0.5000
0.5000 0.0000 0.5000
0.5000 0.5000 0.0000
```



Repeat the first record exactly.
For Ba4Ru3O10, a DFT-relaxed cell (GGA-PBE, the Materials Project) gives the simulated powder diffractogram in this record (Cu Ka).
Intensities are scaled so that the largest is 100.

Principal peaks in the range 2θ from 5° to 70°, by intensity:
| 2θ/deg | Rel. int. |
| --- | --- |
| 30.52 | 100 |
| 28.50 | 97 |
| 28.36 | 96 |
| 41.05 | 77 |
| 26.80 | 62 |
| 32.18 | 44 |
| 32.30 | 42 |
| 40.80 | 35 |
| 48.35 | 30 |
| 31.64 | 23 |
| 51.66 | 22 |
| 40.71 | 21 |

Atomic structure:
```
Ba4Ru3O10
1.0
7.3205 0.0000 0.0000
0.0000 13.3040 0.0000
-2.3081 0.0000 5.3834
Ba Ru O
8 6 20
Direct
0.0176 0.1109 0.2598
0.0176 0.3891 0.7598
0.4290 0.1398 0.9656
0.4290 0.3602 0.4656
0.5710 0.6398 0.5344
0.5710 0.8602 0.0344
0.9824 0.6109 0.2402
0.9824 0.8891 0.7402
0.2526 0.6491 0.8741
0.2526 0.8509 0.3741
0.5000 0.0000 0.5000
0.5000 0.5000 0.0000
0.7474 0.1491 0.6259
0.7474 0.3509 0.1259
0.0367 0.1468 0.7677
0.0367 0.3532 0.2677
0.2581 0.7472 0.6207
0.2581 0.7528 0.1207
0.2806 0.5336 0.6609
0.2806 0.9664 0.1609
0.2824 0.5370 0.1241
0.2824 0.9630 0.6241
0.4288 0.1506 0.4697
0.4288 0.3494 0.9697
0.5712 0.6506 0.0303
0.5712 0.8494 0.5303
0.7176 0.0370 0.3759
0.7176 0.4630 0.8759
0.7194 0.0336 0.8391
0.7194 0.4664 0.3391
0.7419 0.2472 0.8793
0.7419 0.2528 0.3793
0.9633 0.6468 0.7323
0.9633 0.8532 0.2323
```



Number 2 is which compound? Ba4Ru3O10